# 1
Tc3Se5: computed XRD peak list (CuKα), based on a DFT-relaxed cell (PBE, Alexandria).

Structure:
```
16
Lattice="6.7813 0.0000 0.0000 3.3767 6.8978 0.0000 3.3826 -0.0005 6.8963" Properties=species:S:1:pos:R:3 pbc="T T T"
Tc 1.6891 1.8561 0.4140
Tc 3.5899 0.0009 3.4437
Tc 5.0828 3.8591 1.5947
Tc 8.4578 3.0383 5.3015
Tc 9.9507 6.8965 3.4525
Tc 11.8515 5.0412 6.4823
Se 5.0619 4.8684 3.9139
Se 5.0739 6.4344 1.4176
Se 3.3818 3.4531 0.0105
Se 5.0849 1.5962 4.8275
Se 8.4562 5.5144 5.0430
Se 5.0844 1.3829 1.8533
Se 8.4557 5.3012 2.0688
Se 10.1588 3.4442 6.8858
Se 8.4666 0.4630 5.4786
Se 8.4787 2.0290 2.9824
```

Top 10 peaks for 10 to 90 degrees two-theta, sorted by position:
Position (°2θ), Rel. int.
18.19, 52.1
24.26, 30.1
26.28, 44.8
32.15, 30.0
35.73, 100.0
37.19, 73.6
40.38, 30.8
41.40, 31.1
49.69, 25.3
52.77, 43.9


# 2
CaMgB14: computed XRD peak list (CuKα), based on a DFT-relaxed cell (PBE, Alexandria).

Structure:
```
32
Lattice="-2.9712 5.3316 4.1340 2.9712 -5.3316 4.1340 2.9712 5.3316 -4.1340" Properties=species:S:1:pos:R:3 pbc="T T T"
Ca 0.0000 2.6658 1.1500
Ca 2.9712 2.6658 2.9841
Mg 1.4856 2.6658 -2.0670
Mg 1.4856 -2.6658 2.0670
B 2.9712 -3.8740 3.1126
B 1.4981 0.8218 -0.3759
B 4.4442 0.8218 -0.3759
B 2.9712 -0.8820 1.4201
B 2.9712 1.7631 0.2228
B 2.0325 0.6387 1.3312
B 3.9099 0.6387 1.3312
B 2.9712 -1.4576 3.1126
B 2.9712 4.4497 -1.4201
B 2.9712 3.5685 0.2228
B 1.4981 4.5099 -0.3759
B 1.4731 -0.8218 3.7581
B 2.0325 5.9703 -1.3312
B 0.9387 0.6387 2.8028
B 2.0325 4.6930 1.3312
B 0.9387 -0.6387 5.4652
B 1.4981 6.1534 0.3759
B 1.4731 0.8218 4.5099
B 0.0000 1.7631 3.9112
B 0.0000 0.8820 5.5541
B 0.0000 6.7892 1.0214
B -0.9387 4.6930 2.8028
B 0.9387 4.6930 2.8028
B 0.0000 3.5685 3.9112
B 0.0000 6.2136 2.7139
B -1.4731 4.5099 4.5099
B 1.4731 4.5099 4.5099
B 0.0000 9.2057 1.0214
```

Top 10 peaks for 10 to 90 degrees two-theta, sorted by position:
Position (°2θ), Rel. int.
24.89, 56.8
27.58, 23.9
33.12, 48.8
34.56, 23.2
36.61, 47.1
39.82, 58.8
41.07, 100.0
41.46, 31.6
54.06, 33.1
77.83, 21.0